Structure and theoretical powder diffractogram of BaH2O2 (a DFT-relaxed cell (PBE, the Materials Project); Cu Kα (λ = 1.5418 Å)).
Neutral-atom scattering factors, no anomalous dispersion.

Main lines, sorted by position (2θ = 15–90°):
23.8°, intensity 100
25.2°, intensity 88
25.7°, intensity 84
27.8°, intensity 77
31.5°, intensity 38
33.8°, intensity 50
36.9°, intensity 43
38.4°, intensity 38

Cell and atoms:
a = 7.087 Å, b = 8.228 Å, c = 10.464 Å
α = 90.00°, β = 119.99°, γ = 90.00°
Fractional positions:
Ba1 0.072 0.037 0.346
Ba2 0.072 0.463 0.846
Ba3 0.325 0.620 0.574
Ba4 0.325 0.880 0.074
Ba5 0.675 0.120 0.926
Ba6 0.675 0.380 0.426
Ba7 0.928 0.537 0.154
Ba8 0.928 0.963 0.654
H1 0.178 0.197 0.071
H2 0.178 0.303 0.571
H3 0.229 0.191 0.802
H4 0.229 0.309 0.302
H5 0.347 0.604 0.217
H6 0.347 0.896 0.717
H7 0.441 0.676 0.876
H8 0.441 0.824 0.376
H9 0.559 0.176 0.624
H10 0.559 0.324 0.124
H11 0.653 0.104 0.283
H12 0.653 0.396 0.783
H13 0.771 0.691 0.698
H14 0.771 0.809 0.198
H15 0.822 0.697 0.429
H16 0.822 0.803 0.929
O1 0.106 0.169 0.127
O2 0.106 0.331 0.627
O3 0.258 0.140 0.896
O4 0.258 0.360 0.396
O5 0.292 0.718 0.820
O6 0.292 0.782 0.320
O7 0.311 0.541 0.127
O8 0.311 0.959 0.627
O9 0.689 0.041 0.373
O10 0.689 0.459 0.873
O11 0.708 0.218 0.680
O12 0.708 0.282 0.180
O13 0.742 0.640 0.604
O14 0.742 0.860 0.104
O15 0.894 0.669 0.373
O16 0.894 0.831 0.873

=====

Structure and theoretical powder diffractogram of PaAu3 (a DFT-relaxed cell (PBE, the Materials Project); Cu Kα (λ = 1.5418 Å)).
Neutral-atom scattering factors, no anomalous dispersion.

Main lines, sorted by position (2θ = 15–90°):
36.6°, intensity 100
52.7°, intensity 18
65.9°, intensity 37
77.8°, intensity 12
89.2°, intensity 18

Cell and atoms:
a = 4.909 Å, b = 4.909 Å, c = 4.909 Å
α = 60.00°, β = 60.00°, γ = 60.00°
Fractional positions:
Pa1 0.000 0.000 0.000
Au1 0.250 0.250 0.250
Au2 0.500 0.500 0.500
Au3 0.750 0.750 0.750

=====

Structure and theoretical powder diffractogram of Zr4N2O5 (a DFT-relaxed cell (PBE, the Materials Project); Cu Kα (λ = 1.5418 Å)).
Neutral-atom scattering factors, no anomalous dispersion.

Main lines, sorted by position (2θ = 15–90°):
21.2°, intensity 8
30.1°, intensity 100
34.9°, intensity 15
35.0°, intensity 9
50.1°, intensity 7
50.2°, intensity 37
59.6°, intensity 15
59.8°, intensity 8

Cell and atoms:
a = 8.896 Å, b = 8.897 Å, c = 8.907 Å
α = 109.37°, β = 109.37°, γ = 109.58°
Fractional positions:
Zr1 0.000 0.000 0.000
Zr2 0.001 0.768 0.252
Zr3 0.028 0.486 0.539
Zr4 0.057 0.300 0.835
Zr5 0.249 0.253 0.540
Zr6 0.273 0.560 0.309
Zr7 0.289 0.793 0.040
Zr8 0.299 0.062 0.837
Zr9 0.486 0.031 0.539
Zr10 0.502 0.788 0.770
Zr11 0.539 0.547 0.085
Zr12 0.556 0.275 0.306
Zr13 0.739 0.743 0.533
Zr14 0.759 0.996 0.245
Zr15 0.786 0.508 0.764
Zr16 0.794 0.281 0.040
N1 0.050 0.283 0.070
N2 0.280 0.501 0.539
N3 0.282 0.050 0.068
N4 0.499 0.286 0.542
N5 0.515 0.753 0.006
N6 0.535 0.810 0.540
N7 0.786 0.786 0.322
N8 0.806 0.536 0.540
O1 0.002 0.005 0.756
O2 0.012 0.761 0.014
O3 0.017 0.557 0.308
O4 0.036 0.039 0.269
O5 0.052 0.525 0.801
O6 0.224 0.988 0.538
O7 0.245 0.785 0.761
O8 0.261 0.794 0.280
O9 0.291 0.547 0.069
O10 0.302 0.304 0.810
O11 0.490 0.493 0.301
O12 0.522 0.054 0.802
O13 0.550 0.298 0.069
O14 0.558 0.026 0.316
O15 0.733 0.735 0.781
O16 0.748 0.520 0.005
O17 0.762 0.019 0.011
O18 0.784 0.253 0.768
O19 0.791 0.261 0.279
O20 0.988 0.228 0.542

=====

Structure and theoretical powder diffractogram of CsC3Se3N3 (a DFT-relaxed cell (PBE, the Materials Project); Cu Kα (λ = 1.5418 Å)).
Neutral-atom scattering factors, no anomalous dispersion.

Main lines, sorted by position (2θ = 15–90°):
20.6°, intensity 17
21.3°, intensity 100
22.7°, intensity 19
26.9°, intensity 18
29.3°, intensity 23
29.5°, intensity 20
49.6°, intensity 18
50.0°, intensity 16

Cell and atoms:
a = 5.785 Å, b = 8.498 Å, c = 11.630 Å
α = 68.57°, β = 86.68°, γ = 80.89°
Fractional positions:
Cs1 0.000 0.000 0.000
Cs2 0.485 0.553 0.893
C1 0.075 0.421 0.700
C2 0.443 0.125 0.207
C3 0.497 0.129 0.740
C4 0.569 0.670 0.216
C5 0.942 0.876 0.684
C6 0.997 0.414 0.174
Se1 0.000 0.334 0.339
Se2 0.236 0.022 0.327
Se3 0.283 0.515 0.580
Se4 0.507 0.217 0.567
Se5 0.730 0.907 0.581
Se6 0.786 0.634 0.339
N1 0.005 0.467 0.057
N2 0.073 0.850 0.772
N3 0.432 0.699 0.136
N4 0.504 0.079 0.842
N5 0.582 0.167 0.136
N6 0.923 0.379 0.780

=====

Structure and theoretical powder diffractogram of BiPt3 (a DFT-relaxed cell (PBE, the Materials Project); Cu Kα (λ = 1.5418 Å)).
Neutral-atom scattering factors, no anomalous dispersion.

Main lines, sorted by position (2θ = 15–90°):
37.3°, intensity 100
41.4°, intensity 19
44.3°, intensity 31
62.2°, intensity 23
64.4°, intensity 10
72.7°, intensity 15
76.8°, intensity 25
79.5°, intensity 12

Cell and atoms:
a = 5.238 Å, b = 5.238 Å, c = 5.238 Å
α = 134.01°, β = 134.01°, γ = 67.08°
Fractional positions:
Bi1 0.000 0.000 0.000
Pt1 0.250 0.750 0.500
Pt2 0.500 0.500 0.000
Pt3 0.750 0.250 0.500

=====

Structure and theoretical powder diffractogram of Pr3Sn5Au6 (a DFT-relaxed cell (PBE, the Materials Project); Cu Kα (λ = 1.5418 Å)).
Neutral-atom scattering factors, no anomalous dispersion.

Main lines, sorted by position (2θ = 15–90°):
32.1°, intensity 16
32.3°, intensity 20
32.4°, intensity 100
34.7°, intensity 28
39.0°, intensity 42
39.5°, intensity 29
41.8°, intensity 21
56.7°, intensity 22

Cell and atoms:
a = 4.622 Å, b = 13.692 Å, c = 10.486 Å
α = 90.00°, β = 90.00°, γ = 90.00°
Fractional positions:
Pr1 0.250 0.063 0.245
Pr2 0.250 0.437 0.245
Pr3 0.250 0.750 0.246
Pr4 0.750 0.250 0.754
Pr5 0.750 0.563 0.755
Pr6 0.750 0.937 0.755
Sn1 0.250 0.089 0.878
Sn2 0.250 0.411 0.878
Sn3 0.250 0.609 0.524
Sn4 0.250 0.750 0.773
Sn5 0.250 0.891 0.524
Sn6 0.750 0.109 0.476
Sn7 0.750 0.250 0.227
Sn8 0.750 0.391 0.476
Sn9 0.750 0.589 0.122
Sn10 0.750 0.911 0.122
Au1 0.250 0.088 0.620
Au2 0.250 0.250 0.043
Au3 0.250 0.250 0.438
Au4 0.250 0.412 0.620
Au5 0.250 0.605 0.975
Au6 0.250 0.895 0.975
Au7 0.750 0.105 0.025
Au8 0.750 0.395 0.025
Au9 0.750 0.588 0.380
Au10 0.750 0.750 0.562
Au11 0.750 0.750 0.957
Au12 0.750 0.912 0.380